The following is a simulated powder X-ray diffraction pattern of Ti3In. It was derived from DFT lattice parameters and positions (GGA-PBE), using a wavelength of 1.5418 Å.
No peak broadening, texture or thermal motion is included.

Structural model:
Cell: 5.9270 5.9270 4.7910 Å, 90.00 90.00 120.00°
Space group P6_3/mmc (No. 194)
Asymmetric unit:
Ti 0.1643 0.3285 0.2500 [6 per cell]
In 0.3333 0.6667 0.7500 [2 per cell]

Peak list (6 most intense, 15° ≤ 2θ ≤ 90°, by angle)
| Position (°2θ) | d_spacing | I (rel.) | (hkl) |
| --- | --- | --- | --- |
| 25.4 | 3.502 | 25 | 1 0 1 |
| 35.0 | 2.566 | 24 | 2 0 0 |
| 37.5 | 2.396 | 27 | 0 0 2 |
| 39.8 | 2.262 | 100 | 2 0 1 |
| 69.3 | 1.356 | 17 | 2 0 3 |
| 75.4 | 1.260 | 18 | 2 2 2 |

***

The following is a simulated powder X-ray diffraction pattern of Ti2In5. It was derived from DFT lattice parameters and positions (GGA-PBE), using a wavelength of 1.5418 Å.
No peak broadening, texture or thermal motion is included.

Structural model:
Cell: 10.932 10.932 3.138 Å, 90.00 90.00 90.00°
Space group P4/mbm (No. 127)
Asymmetric unit:
Ti 0.180 0.320 0.000 [4 per cell]
In 0.000 0.500 0.500 [2 per cell]
In 0.064 0.793 0.500 [8 per cell]

Peak list (6 most intense, 15° ≤ 2θ ≤ 90°, by angle)
| Position (°2θ) | d_spacing | I (rel.) | (hkl) |
| --- | --- | --- | --- |
| 25.8 | 3.457 | 59 | 3 1 0 |
| 28.4 | 3.138 | 62 | 0 0 1 |
| 33.8 | 2.651 | 100 | 4 1 0 |
| 33.9 | 2.641 | 43 | 2 1 1 |
| 38.8 | 2.324 | 75 | 3 1 1 |
| 41.4 | 2.180 | 45 | 3 2 1 |

***

The following is a simulated powder X-ray diffraction pattern of Ti3In. It was derived from DFT lattice parameters and positions (GGA-PBE), using a wavelength of 1.5418 Å.
No peak broadening, texture or thermal motion is included.

Structural model:
Cell: 6.642 6.642 6.642 Å, 90.00 90.00 90.00°
Space group Fm-3m (No. 225)
Asymmetric unit:
Ti 0.000 0.000 0.000 [4 per cell]
Ti 0.250 0.250 0.250 [8 per cell]
In 0.000 0.000 0.500 [4 per cell]

Peak list (6 most intense, 15° ≤ 2θ ≤ 90°, by angle)
| Position (°2θ) | d_spacing | I (rel.) | (hkl) |
| --- | --- | --- | --- |
| 23.2 | 3.835 | 17 | 1 1 1 |
| 38.3 | 2.348 | 100 | 2 2 0 |
| 45.3 | 2.003 | 9 | 3 1 1 |
| 55.3 | 1.661 | 16 | 4 0 0 |
| 69.3 | 1.356 | 31 | 4 2 2 |
| 82.1 | 1.174 | 10 | 4 4 0 |

***

The following is a simulated powder X-ray diffraction pattern of Ti3In4. It was derived from DFT lattice parameters and positions (GGA-PBE), using a wavelength of 1.5418 Å.
No peak broadening, texture or thermal motion is included.

Structural model:
Cell: 9.994 9.994 2.989 Å, 90.00 90.00 90.00°
Space group P4/mbm (No. 127)
Asymmetric unit:
Ti 0.000 0.500 0.000 [2 per cell]
Ti 0.176 0.324 0.500 [4 per cell]
In 0.059 0.788 0.000 [8 per cell]

Peak list (6 most intense, 15° ≤ 2θ ≤ 90°, by angle)
| Position (°2θ) | d_spacing | I (rel.) | (hkl) |
| --- | --- | --- | --- |
| 25.2 | 3.533 | 49 | 2 2 0 |
| 29.9 | 2.989 | 56 | 0 0 1 |
| 36.2 | 2.484 | 50 | 2 1 1 |
| 37.1 | 2.424 | 100 | 4 1 0 |
| 39.5 | 2.282 | 51 | 2 2 1 |
| 44.6 | 2.032 | 43 | 3 2 1 |